# 1
For LaPr2Co2B2C3, a PBE-relaxed structure gives the simulated XRD peak list in this record (Cu Kα (λ = 1.5418 Å)).
Lines closer than 0.1° are merged.

Cell and atoms:
```
data_LaPr2Co2B2C3
_space_group_name_H-M_alt 'I 4/m m m'
_space_group_IT_number 139
_space_group_name_Hall '-I 4 2'
_cell_length_a 3.7155
_cell_length_b 3.7155
_cell_length_c 21.2306
_cell_angle_alpha 90.00
_cell_angle_beta 90.00
_cell_angle_gamma 90.00
loop_
_atom_site_label
_atom_site_fract_x
_atom_site_fract_y
_atom_site_fract_z
La1 0.0000 0.0000 0.0000
Pr1 0.0000 0.0000 0.3694
Co1 0.0000 0.5000 0.2500
B1 0.0000 0.0000 0.1995
C1 0.0000 0.0000 0.1283
C2 0.0000 0.0000 0.5000
```

The 8 most intense peaks (2θ from 10° to 90°), by angle:
| two_theta | intensity | h k l |
| --- | --- | --- |
| 27.11 | 100.0 | 1 0 3 |
| 32.01 | 56.0 | 1 0 5 |
| 33.77 | 43.8 | 0 0 8 |
| 34.13 | 33.0 | 1 1 0 |
| 38.24 | 35.9 | 1 1 4 |
| 42.87 | 33.5 | 1 1 6 |
| 49.04 | 34.0 | 2 0 0 |
| 60.87 | 30.5 | 2 0 8 |



# 2
For ScAlSiPt, a PBE-relaxed structure gives the simulated XRD peak list in this record (Cu Kα (λ = 1.5418 Å)).
Lines closer than 0.1° are merged.

Cell and atoms:
```
data_ScAlSiPt
_space_group_name_H-M_alt 'C 1 2/m 1'
_space_group_IT_number 12
_cell_length_a 9.7476
_cell_length_b 4.1608
_cell_length_c 6.5338
_cell_angle_alpha 90.00
_cell_angle_beta 91.85
_cell_angle_gamma 90.00
loop_
_space_group_symop_operation_xyz
'x,y,z'
'-x,-y,-z'
'-x,y,-z'
'x,-y,z'
'x+1/2,y+1/2,z'
'-x+1/2,-y+1/2,-z'
'-x+1/2,y+1/2,-z'
'x+1/2,-y+1/2,z'
loop_
_atom_site_label
_atom_site_fract_x
_atom_site_fract_y
_atom_site_fract_z
Sc1 0.0759 0.0000 0.2573
Al1 0.1367 0.5000 0.9496
Si1 0.1210 0.5000 0.5487
Pt1 0.2073 0.0000 0.7288
```

The 8 most intense peaks (2θ from 10° to 90°), by angle:
| two_theta | intensity | h k l |
| --- | --- | --- |
| 18.21 | 100.0 | 2 0 0 |
| 26.86 | 97.0 | 1 1 -1 |
| 27.16 | 81.8 | 1 1 1 |
| 27.31 | 65.9 | 0 0 2 |
| 36.40 | 51.8 | 1 1 2 |
| 37.40 | 74.8 | 3 1 -1 |
| 38.08 | 44.2 | 3 1 1 |
| 43.50 | 47.5 | 0 2 0 |



# 3
For Ho5Co4Si14, a PBE-relaxed structure gives the simulated XRD peak list in this record (Cu Kα (λ = 1.5418 Å)).
Lines closer than 0.1° are merged.

Cell and atoms:
```
data_Ho5Co4Si14
_space_group_name_H-M_alt 'P 1 21/c 1'
_space_group_IT_number 14
_cell_length_a 12.3584
_cell_length_b 7.8052
_cell_length_c 7.7309
_cell_angle_alpha 90.00
_cell_angle_beta 98.83
_cell_angle_gamma 90.00
loop_
_space_group_symop_operation_xyz
'x,y,z'
'-x,-y,-z'
'-x,y+1/2,-z+1/2'
'x,-y+1/2,z+1/2'
loop_
_atom_site_label
_atom_site_fract_x
_atom_site_fract_y
_atom_site_fract_z
Ho1 0.0000 0.0000 0.0000
Ho2 0.3643 0.2481 0.3421
Ho3 0.3645 0.7489 0.3396
Co1 0.9998 0.1264 0.6278
Co2 0.2484 0.9998 0.0607
Si1 0.0001 0.1662 0.3345
Si2 0.1772 0.0058 0.7684
Si3 0.1768 0.2262 0.5500
Si4 0.1768 0.7260 0.0377
Si5 0.1775 0.5059 0.8185
Si6 0.4397 0.0003 0.1091
Si7 0.4417 0.0004 0.6122
```

The 8 most intense peaks (2θ from 10° to 90°), by angle:
| two_theta | intensity | h k l |
| --- | --- | --- |
| 21.83 | 40.0 | 3 0 0 |
| 23.94 | 36.4 | 1 2 0 |
| 25.51 | 55.5 | 1 0 2 |
| 32.82 | 22.0 | 0 2 2 |
| 34.47 | 46.5 | 1 2 2 |
| 36.81 | 36.4 | 5 0 0 |
| 37.40 | 45.4 | 4 2 0 |
| 37.57 | 100.0 | 3 2 -2 |



# 4
For Na2ZnCoAs2, a PBE-relaxed structure gives the simulated XRD peak list in this record (Cu Kα (λ = 1.5418 Å)).
Lines closer than 0.1° are merged.

Cell and atoms:
```
data_Na2ZnCoAs2
_space_group_name_H-M_alt 'P -4 m 2'
_space_group_IT_number 115
_cell_length_a 4.0368
_cell_length_b 4.0368
_cell_length_c 6.9140
_cell_angle_alpha 90.00
_cell_angle_beta 90.00
_cell_angle_gamma 90.00
loop_
_space_group_symop_operation_xyz
'x,y,z'
'y,-x,-z'
'-x,-y,z'
'-y,x,-z'
'-x,y,z'
'-y,-x,-z'
'x,-y,z'
'y,x,-z'
loop_
_atom_site_label
_atom_site_fract_x
_atom_site_fract_y
_atom_site_fract_z
Na1 0.0000 0.5000 0.1495
Zn1 0.0000 0.0000 0.5000
Co1 0.5000 0.5000 0.5000
As1 0.0000 0.5000 0.7117
```

The 8 most intense peaks (2θ from 10° to 90°), by angle:
| two_theta | intensity | h k l |
| --- | --- | --- |
| 12.80 | 100.0 | 0 0 1 |
| 25.55 | 48.8 | 1 0 1 |
| 33.98 | 29.9 | 1 1 1 |
| 34.15 | 26.2 | 1 0 2 |
| 41.00 | 90.5 | 1 1 2 |
| 44.91 | 48.1 | 2 0 0 |
| 50.93 | 20.9 | 1 1 3 |
| 80.15 | 23.4 | 3 1 2 |



# 5
For GdDy2HoZn2, a PBE-relaxed structure gives the simulated XRD peak list in this record (Cu Kα (λ = 1.5418 Å)).
Lines closer than 0.1° are merged.

Cell and atoms:
```
data_GdDy2HoZn2
_space_group_name_H-M_alt 'A m m 2'
_space_group_IT_number 38
_cell_length_a 5.2002
_cell_length_b 3.6036
_cell_length_c 16.3621
_cell_angle_alpha 90.00
_cell_angle_beta 90.00
_cell_angle_gamma 90.00
loop_
_space_group_symop_operation_xyz
'x,y,z'
'-x,-y,z'
'-x,y,z'
'x,-y,z'
'x,y+1/2,z+1/2'
'-x,-y+1/2,z+1/2'
'-x,y+1/2,z+1/2'
'x,-y+1/2,z+1/2'
loop_
_atom_site_label
_atom_site_fract_x
_atom_site_fract_y
_atom_site_fract_z
Gd1 0.0000 0.0000 0.0000
Dy1 0.0000 0.0000 0.3016
Dy2 0.5000 0.0000 0.1413
Ho1 0.5000 0.0000 0.4417
Zn1 0.0000 0.0000 0.6520
Zn2 0.5000 0.0000 0.7924
```

The 8 most intense peaks (2θ from 10° to 90°), by angle:
| two_theta | intensity | h k l |
| --- | --- | --- |
| 27.75 | 16.7 | 1 0 4 |
| 32.84 | 14.4 | 0 0 6 |
| 34.46 | 100.0 | 2 0 0 |
| 48.37 | 9.7 | 2 0 6 |
| 50.66 | 7.5 | 0 2 0 |
| 61.76 | 18.9 | 3 1 3 |
| 62.74 | 7.8 | 2 2 0 |
| 72.68 | 8.2 | 4 0 0 |



# 6
For Dy4I3NCl2, a PBE-relaxed structure gives the simulated XRD peak list in this record (Cu Kα (λ = 1.5418 Å)).
Lines closer than 0.1° are merged.

Cell and atoms:
```
data_Dy4I3NCl2
_space_group_name_H-M_alt 'C 1 2/m 1'
_space_group_IT_number 12
_cell_length_a 18.0345
_cell_length_b 3.8233
_cell_length_c 8.3655
_cell_angle_alpha 90.00
_cell_angle_beta 99.93
_cell_angle_gamma 90.00
loop_
_space_group_symop_operation_xyz
'x,y,z'
'-x,-y,-z'
'-x,y,-z'
'x,-y,z'
'x+1/2,y+1/2,z'
'-x+1/2,-y+1/2,-z'
'-x+1/2,y+1/2,-z'
'x+1/2,-y+1/2,z'
loop_
_atom_site_label
_atom_site_fract_x
_atom_site_fract_y
_atom_site_fract_z
Dy1 0.0021 0.0000 0.3105
Dy2 0.1311 0.5000 0.5601
I1 0.0000 0.5000 0.0000
I2 0.1746 0.0000 0.3040
N1 0.0000 0.5000 0.5000
Cl1 0.1490 0.0000 0.7985
```

The 8 most intense peaks (2θ from 10° to 90°), by angle:
| two_theta | intensity | h k l |
| --- | --- | --- |
| 10.74 | 84.6 | 0 0 1 |
| 30.19 | 40.6 | 6 0 0 |
| 30.81 | 20.1 | 3 1 1 |
| 31.73 | 100.0 | 1 1 -2 |
| 34.46 | 23.1 | 5 1 0 |
| 34.81 | 32.0 | 5 1 -1 |
| 43.38 | 31.0 | 2 0 -4 |
| 45.30 | 21.2 | 7 1 -2 |



# 7
For DyTlTe3Au, a PBE-relaxed structure gives the simulated XRD peak list in this record (Cu Kα (λ = 1.5418 Å)).
Lines closer than 0.1° are merged.

Cell and atoms:
```
data_DyTlTe3Au
_space_group_name_H-M_alt 'P 1 21/m 1'
_space_group_IT_number 11
_cell_length_a 8.8400
_cell_length_b 4.2089
_cell_length_c 10.9360
_cell_angle_alpha 90.00
_cell_angle_beta 110.47
_cell_angle_gamma 90.00
loop_
_space_group_symop_operation_xyz
'x,y,z'
'-x,-y,-z'
'-x,y+1/2,-z'
'x,-y+1/2,z'
loop_
_atom_site_label
_atom_site_fract_x
_atom_site_fract_y
_atom_site_fract_z
Dy1 0.1956 0.2500 0.1572
Tl1 0.2388 0.7500 0.7056
Te1 0.0653 0.2500 0.8588
Te2 0.2443 0.2500 0.4509
Te3 0.4429 0.7500 0.1463
Au1 0.4132 0.7500 0.3878
```

The 8 most intense peaks (2θ from 10° to 90°), by angle:
| two_theta | intensity | h k l |
| --- | --- | --- |
| 11.14 | 51.4 | 1 0 -1 |
| 27.14 | 40.4 | 1 1 -2 |
| 29.33 | 100.0 | 2 1 -1 |
| 30.28 | 54.8 | 2 1 0 |
| 32.54 | 78.8 | 1 1 -3 |
| 33.63 | 56.6 | 2 1 1 |
| 40.47 | 39.1 | 2 1 -4 |
| 42.98 | 49.4 | 0 2 0 |



# 8
For U7Te12, a PBE-relaxed structure gives the simulated XRD peak list in this record (Cu Kα (λ = 1.5418 Å)).
Lines closer than 0.1° are merged.

Cell and atoms:
```
data_U7Te12
_space_group_name_H-M_alt 'P -6'
_space_group_IT_number 174
_cell_length_a 12.4245
_cell_length_b 12.4245
_cell_length_c 4.1869
_cell_angle_alpha 90.00
_cell_angle_beta 90.00
_cell_angle_gamma 120.00
loop_
_space_group_symop_operation_xyz
'x,y,z'
'-x+y,-x,-z'
'-y,x-y,z'
'x,y,-z'
'-x+y,-x,z'
'-y,x-y,-z'
loop_
_atom_site_label
_atom_site_fract_x
_atom_site_fract_y
_atom_site_fract_z
U1 0.0000 0.0000 0.0000
U2 0.1592 0.4510 0.5000
U3 0.4319 0.2779 0.0000
Te1 0.0076 0.2555 0.0000
Te2 0.1367 0.6285 0.0000
Te3 0.2128 0.2099 0.5000
Te4 0.5242 0.1399 0.5000
```

The 8 most intense peaks (2θ from 10° to 90°), by angle:
| two_theta | intensity | h k l |
| --- | --- | --- |
| 21.85 | 44.5 | 1 2 0 |
| 30.65 | 100.0 | 2 1 1 |
| 32.88 | 48.9 | 3 0 1 |
| 36.00 | 33.9 | 2 2 1 |
| 36.99 | 36.4 | 1 3 1 |
| 38.33 | 58.8 | 4 1 0 |
| 43.22 | 26.8 | 0 0 2 |
| 59.12 | 33.9 | 4 1 2 |